1.
Starting from a cell relaxed with PBE, the powder diffraction line list of TbBH4 was computed for Cu Kα, 1.54184 Å.

Structural model:
```
TbBH4
1.0
-2.0781 5.8672 2.8701
2.0781 -5.8672 2.8701
2.0781 5.8672 -2.8701
Tb B H
3 3 12
Direct
0.0000 0.0000 0.0000 Tb
0.3625 0.0266 0.3359 Tb
0.6907 0.0266 0.6641 Tb
0.1869 0.5208 0.6662 B
0.5174 0.5174 0.0000 B
0.8546 0.5208 0.3338 B
0.1630 0.4049 0.7581 H
0.3138 0.4051 0.4173 H
0.3138 0.8965 0.9087 H
0.3831 0.1375 0.7544 H
0.3831 0.6287 0.2456 H
0.5540 0.6452 0.9088 H
0.6469 0.4049 0.2419 H
0.7365 0.6452 0.0912 H
0.8058 0.3860 0.4198 H
0.9661 0.3860 0.5802 H
0.9878 0.4051 0.0913 H
0.9878 0.8965 0.5827 H
```

Largest 6 diffraction maxima, in order of falling intensity, 5 to 70 degrees two-theta:
| 2theta | Rel. int. |
| --- | --- |
| 26.48 | 100 |
| 27.60 | 91 |
| 31.41 | 84 |
| 44.83 | 61 |
| 31.16 | 42 |
| 52.34 | 34 |

2.
Starting from a cell relaxed with PBE, the powder diffraction line list of SmZnSi was computed for Cu Kα, 1.54184 Å.

Structural model:
```
SmZnSi
1.0
4.1653 0.0000 0.0000
-2.0827 3.6073 0.0000
0.0000 0.0000 4.1693
Sm Zn Si
1 1 1
Direct
0.0000 0.0000 0.0000 Sm
0.3333 0.6667 0.5000 Zn
0.6667 0.3333 0.5000 Si
```

Largest 6 diffraction maxima, in order of falling intensity, 5 to 70 degrees two-theta:
| 2theta | Rel. int. |
| --- | --- |
| 32.83 | 100 |
| 43.44 | 46 |
| 24.68 | 28 |
| 63.10 | 22 |
| 55.51 | 22 |
| 50.58 | 12 |

3.
Starting from a cell relaxed with PBE, the powder diffraction line list of EuNiGe3 was computed for Cu Kα, 1.54184 Å.

Structural model:
```
EuNiGe3
1.0
-2.1779 2.1779 4.9898
2.1779 -2.1779 4.9898
2.1779 2.1779 -4.9898
Eu Ni Ge
1 1 3
Direct
0.0000 0.0000 0.0000 Eu
0.3458 0.3458 0.0000 Ni
0.2470 0.7470 0.5000 Ge
0.5815 0.5815 0.0000 Ge
0.7470 0.2470 0.5000 Ge
```

Largest 6 diffraction maxima, in order of falling intensity, 5 to 70 degrees two-theta:
| 2theta | Rel. int. |
| --- | --- |
| 34.21 | 100 |
| 41.46 | 57 |
| 33.91 | 50 |
| 54.60 | 25 |
| 60.08 | 18 |
| 50.28 | 18 |

4.
Starting from a cell relaxed with PBE, the powder diffraction line list of Er2Al17 was computed for Cu Kα, 1.54184 Å.

Structural model:
```
Er2Al17
1.0
9.4326 0.0000 0.0000
-4.7163 8.1688 0.0000
0.0000 0.0000 8.8384
Er Al
4 34
Direct
0.0000 0.0000 0.2500 Er
0.0000 0.0000 0.7500 Er
0.3333 0.6667 0.2500 Er
0.6667 0.3333 0.7500 Er
0.0000 0.5000 0.0000 Al
0.0000 0.5000 0.5000 Al
0.0323 0.3608 0.7500 Al
0.0323 0.6715 0.7500 Al
0.1632 0.3263 0.0224 Al
0.1632 0.3263 0.4776 Al
0.1632 0.8368 0.0224 Al
0.1632 0.8368 0.4776 Al
0.3263 0.1632 0.5224 Al
0.3263 0.1632 0.9776 Al
0.3285 0.3608 0.7500 Al
0.3285 0.9677 0.7500 Al
0.3333 0.6667 0.6013 Al
0.3333 0.6667 0.8987 Al
0.3608 0.0323 0.2500 Al
0.3608 0.3285 0.2500 Al
0.5000 0.0000 0.0000 Al
0.5000 0.0000 0.5000 Al
0.5000 0.5000 0.0000 Al
0.5000 0.5000 0.5000 Al
0.6392 0.6715 0.7500 Al
0.6392 0.9677 0.7500 Al
0.6667 0.3333 0.1013 Al
0.6667 0.3333 0.3987 Al
0.6715 0.0323 0.2500 Al
0.6715 0.6392 0.2500 Al
0.6737 0.8368 0.0224 Al
0.6737 0.8368 0.4776 Al
0.8368 0.1632 0.5224 Al
0.8368 0.1632 0.9776 Al
0.8368 0.6737 0.5224 Al
0.8368 0.6737 0.9776 Al
0.9677 0.3285 0.2500 Al
0.9677 0.6392 0.2500 Al
```

Largest 6 diffraction maxima, in order of falling intensity, 5 to 70 degrees two-theta:
| 2theta | Rel. int. |
| --- | --- |
| 38.85 | 100 |
| 27.66 | 84 |
| 38.16 | 56 |
| 32.89 | 55 |
| 18.82 | 51 |
| 14.77 | 38 |

5.
Starting from a cell relaxed with PBE, the powder diffraction line list of Eu2Cu2O5 was computed for Cu Kα, 1.54184 Å.

Structural model:
```
Eu2Cu2O5
1.0
-7.7963 2.7726 2.6700
7.7963 -2.7726 2.6700
7.7963 2.7726 -2.6700
Eu Cu O
4 4 10
Direct
0.0167 0.1120 0.1287 Eu
0.0167 0.3880 0.4047 Eu
0.9833 0.6120 0.5953 Eu
0.9833 0.8880 0.8713 Eu
0.4853 0.7823 0.2030 Cu
0.4931 0.4931 0.0000 Cu
0.4931 0.9931 0.5000 Cu
0.5793 0.2823 0.7970 Cu
0.0091 0.6546 0.8545 O
0.4083 0.1065 0.5751 O
0.4083 0.3332 0.8018 O
0.4985 0.2332 0.2412 O
0.4985 0.7572 0.7652 O
0.5314 0.6065 0.1982 O
0.5314 0.8332 0.4249 O
0.8000 0.1546 0.1455 O
0.9920 0.2572 0.7588 O
0.9920 0.7332 0.2348 O
```

Largest 6 diffraction maxima, in order of falling intensity, 5 to 70 degrees two-theta:
| 2theta | Rel. int. |
| --- | --- |
| 32.71 | 100 |
| 32.29 | 31 |
| 33.56 | 31 |
| 57.84 | 27 |
| 47.26 | 27 |
| 59.47 | 19 |